# 1
For CoPbO3, DFT lattice parameters and positions (GGA+U) gives the computed powder diffraction line list in this record (CuKα).
Neutral-atom scattering factors, no anomalous dispersion.

Atomic structure:
Unit cell a=5.4661 b=5.4661 c=14.2545 alpha=90.00 beta=90.00 gamma=120.00
Space group R-3 (No. 148, hexagonal axes)
Symmetry-distinct sites (fractional):
Co 0.0000 0.0000 0.1457 [6 per cell]
Pb 0.0000 0.0000 0.3627 [6 per cell]
O 0.0148 0.7111 0.7534 [18 per cell]

Top 6 peaks for 15 to 90 degrees two-theta, by intensity:
- hkl 1 0 4, 2θ = 31.4°, d 2.847, rel. 100
- hkl 1 1 0, 2θ = 32.8°, d 2.733, rel. 91
- hkl 1 0 1, 2θ = 19.8°, d 4.493, rel. 43
- hkl 0 2 4, 2θ = 46.0°, d 1.972, rel. 40
- hkl 3 -1 4, 2θ = 57.6°, d 1.599, rel. 39
- hkl 1 1 3, 2θ = 38.0°, d 2.369, rel. 32



# 2
For CoPb3O6, DFT lattice parameters and positions (GGA+U) gives the computed powder diffraction line list in this record (CuKα).
Neutral-atom scattering factors, no anomalous dispersion.

Atomic structure:
Unit cell a=5.658 b=5.658 c=8.079 alpha=90.00 beta=90.00 gamma=90.00
Space group I4/mmm (No. 139)
Symmetry-distinct sites (fractional):
Co 0.000 0.000 0.000 [2 per cell]
Pb 0.000 0.000 0.500 [2 per cell]
Pb 0.000 0.500 0.250 [4 per cell]
O 0.000 0.000 0.237 [4 per cell]
O 0.233 0.233 0.000 [8 per cell]

Top 6 peaks for 15 to 90 degrees two-theta, by intensity:
- hkl 1 1 2, 2θ = 31.5°, d 2.843, rel. 100
- hkl 2 0 0, 2θ = 31.6°, d 2.829, rel. 49
- hkl 3 1 2, 2θ = 56.2°, d 1.636, rel. 40
- hkl 2 2 0, 2θ = 45.3°, d 2.000, rel. 26
- hkl 2 0 4, 2θ = 55.9°, d 1.644, rel. 20
- hkl 4 2 0, 2θ = 75.0°, d 1.266, rel. 18



# 3
For CoPbSO, DFT lattice parameters and positions (GGA+U) gives the computed powder diffraction line list in this record (CuKα).
Neutral-atom scattering factors, no anomalous dispersion.

Atomic structure:
Unit cell a=5.874 b=3.864 c=13.737 alpha=90.00 beta=90.00 gamma=90.00
Space group Pnma (No. 62)
Symmetry-distinct sites (fractional):
Co 0.135 0.250 0.196 [4 per cell]
Pb 0.238 0.750 0.420 [4 per cell]
S 0.243 0.750 0.110 [4 per cell]
O 0.204 0.750 0.819 [4 per cell]

Top 6 peaks for 15 to 90 degrees two-theta, by intensity:
- hkl 0 1 3, 2θ = 30.3°, d 2.953, rel. 100
- hkl 1 1 1, 2θ = 28.4°, d 3.143, rel. 82
- hkl 2 1 3, 2θ = 43.5°, d 2.082, rel. 58
- hkl 1 0 4, 2θ = 30.1°, d 2.965, rel. 55
- hkl 1 0 2, 2θ = 19.9°, d 4.464, rel. 53
- hkl 2 0 0, 2θ = 30.4°, d 2.937, rel. 45



# 4
For CoPbSO, DFT lattice parameters and positions (GGA+U) gives the computed powder diffraction line list in this record (CuKα).
Neutral-atom scattering factors, no anomalous dispersion.

Atomic structure:
Unit cell a=5.820 b=17.935 c=5.988 alpha=90.00 beta=90.00 gamma=90.00
Space group Pbca (No. 61)
Symmetry-distinct sites (fractional):
Co 0.162 0.215 0.103 [8 per cell]
Pb 0.248 0.585 0.501 [8 per cell]
S 0.248 0.092 0.989 [8 per cell]
O 0.188 0.714 0.404 [8 per cell]

Top 6 peaks for 15 to 90 degrees two-theta, by intensity:
- hkl 0 0 2, 2θ = 29.9°, d 2.992, rel. 100
- hkl 1 2 1, 2θ = 23.5°, d 3.784, rel. 96
- hkl 1 4 1, 2θ = 29.2°, d 3.055, rel. 92
- hkl 2 0 2, 2θ = 43.4°, d 2.086, rel. 67
- hkl 2 0 0, 2θ = 30.7°, d 2.910, rel. 54
- hkl 0 6 2, 2θ = 42.7°, d 2.115, rel. 34